Structure and computed powder diffraction line list of Pu2SiBr (a cell relaxed with GGA-PBE; λ = 1.5418 Å (Cu Kα)).
Kinematic intensities with the Lorentz-polarization factor, no thermal factor.

Cell and atoms:
a = 3.472 Å, b = 3.472 Å, c = 7.799 Å
α = 90.00°, β = 90.00°, γ = 90.00°
Space group P4/mmm (No. 123)
Unique sites:
Pu  0.000  0.000  0.213
Si  0.500  0.500  0.000
Br  0.500  0.500  0.500

The 8 most intense peaks (10° ≤ 2θ ≤ 90°), low angle first:
hkl, d [Å], 2θ (°), intensity
0 0 2, 3.899, 22.81, 21
1 0 0, 3.472, 25.66, 43
1 0 1, 3.172, 28.13, 14
1 0 2, 2.594, 34.58, 100
1 1 0, 2.455, 36.61, 46
1 1 2, 2.079, 43.54, 27
2 0 0, 1.736, 52.73, 16
2 1 2, 1.443, 64.60, 37



Structure and computed powder diffraction line list of NaGa6Au12 (a cell relaxed with GGA-PBE; λ = 1.5418 Å (Cu Kα)).
Kinematic intensities with the Lorentz-polarization factor, no thermal factor.

Cell and atoms:
a = 12.0451 Å, b = 12.0451 Å, c = 8.8922 Å
α = 90.00°, β = 90.00°, γ = 120.00°
Space group R-3m (No. 166, hexagonal axes)
Unique sites:
Na  0.0000  0.0000  0.0000
Ga  0.0570  0.5285  0.2468
Au  0.0000  0.3821  0.5000
Au  0.0809  0.1619  0.2964

The 8 most intense peaks (10° ≤ 2θ ≤ 90°), low angle first:
hkl, d [Å], 2θ (°), intensity
0 1 2, 4.090, 21.73, 55
1 3 1, 2.751, 32.55, 100
1 1 3, 2.659, 33.70, 51
3 2 1, 2.311, 38.98, 56
4 1 0, 2.276, 39.59, 26
0 3 3, 2.256, 39.97, 71
0 2 4, 2.045, 44.29, 23
5 0 2, 1.889, 48.18, 54